Entry 1:
Computed X-ray powder pattern
Compound: HfAl4Ga
Radiation: copper Kα
Structure: a crystal structure in Alexandria, relaxed with PBE
Intensities are scaled so that the largest is 100.

Main lines, in order of falling intensity (2θ = 10–90°):
2θ/deg	intensity
38.9	100
20.0	53
35.9	45
24.2	45
37.2	37
41.8	24
57.1	23
29.1	21

Structural model:
abc: 5.446 5.446 9.680
angles: 90.00 90.00 133.23
Sites, in units of the cell vectors:
Hf1 0.164 0.836 0.500
Hf2 0.836 0.164 0.000
Al1 0.003 0.997 0.241
Al2 0.142 0.858 0.972
Al3 0.310 0.690 0.228
Al4 0.473 0.527 0.552
Al5 0.527 0.473 0.052
Al6 0.690 0.310 0.728
Al7 0.858 0.142 0.472
Al8 0.997 0.003 0.741
Ga1 0.344 0.656 0.793
Ga2 0.656 0.344 0.293

Entry 2:
Computed X-ray powder pattern
Compound: HfAl3Ga2
Radiation: copper Kα
Structure: a crystal structure in Alexandria, relaxed with PBE
Intensities are scaled so that the largest is 100.

Main lines, in order of falling intensity (2θ = 10–90°):
2θ/deg	intensity
34.1	100
41.6	98
25.8	82
13.3	56
44.9	51
22.0	44
62.0	34
34.8	31

Structural model:
abc: 4.041 4.041 6.681
angles: 90.00 90.00 90.00
Sites, in units of the cell vectors:
Hf1 0.000 0.000 0.000
Al1 0.000 0.500 0.315
Al2 0.500 0.000 0.685
Al3 0.500 0.500 0.000
Ga1 0.000 0.500 0.696
Ga2 0.500 0.000 0.304

Entry 3:
Computed X-ray powder pattern
Compound: Hf5AlGa8
Radiation: copper Kα
Structure: a crystal structure in Alexandria, relaxed with PBE
Intensities are scaled so that the largest is 100.

Main lines, in order of falling intensity (2θ = 10–90°):
2θ/deg	intensity
34.2	100
42.9	72
34.5	56
36.7	48
15.7	42
41.0	42
26.7	41
41.7	34

Structural model:
abc: 7.006 7.006 7.006
angles: 107.54 107.54 113.41
Sites, in units of the cell vectors:
Hf1 0.000 0.000 0.000
Hf2 0.246 0.063 0.593
Hf3 0.347 0.754 0.817
Hf4 0.470 0.653 0.407
Hf5 0.937 0.530 0.183
Al1 0.750 0.250 0.500
Ga1 0.107 0.318 0.418
Ga2 0.152 0.370 0.897
Ga3 0.311 0.893 0.210
Ga4 0.473 0.254 0.103
Ga5 0.630 0.527 0.781
Ga6 0.682 0.101 0.790
Ga7 0.746 0.848 0.219
Ga8 0.899 0.689 0.582

Entry 4:
Computed X-ray powder pattern
Compound: HoAl3Ga4
Radiation: copper Kα
Structure: a crystal structure in Alexandria, relaxed with PBE
Intensities are scaled so that the largest is 100.

Main lines, in order of falling intensity (2θ = 10–90°):
2θ/deg	intensity
39.7	100
42.4	92
32.5	85
27.5	85
36.7	64
23.1	51
38.8	39
28.9	39

Structural model:
abc: 3.334 6.898 13.919
angles: 90.00 90.00 90.00
Sites, in units of the cell vectors:
Ho1 0.000 0.000 0.000
Ho2 0.500 0.500 0.500
Al1 0.000 0.000 0.500
Al2 0.000 0.500 0.315
Al3 0.000 0.500 0.685
Al4 0.500 0.000 0.185
Al5 0.500 0.000 0.815
Al6 0.500 0.500 0.000
Ga1 0.000 0.310 0.146
Ga2 0.000 0.310 0.854
Ga3 0.000 0.690 0.146
Ga4 0.000 0.690 0.854
Ga5 0.500 0.190 0.354
Ga6 0.500 0.190 0.646
Ga7 0.500 0.810 0.354
Ga8 0.500 0.810 0.646

Entry 5:
Computed X-ray powder pattern
Compound: Ho2Al3Ga3
Radiation: copper Kα
Structure: a crystal structure in Alexandria, relaxed with PBE
Intensities are scaled so that the largest is 100.

Main lines, in order of falling intensity (2θ = 10–90°):
2θ/deg	intensity
36.6	100
20.8	40
29.8	33
42.2	17
42.4	17
43.0	16
73.5	13
73.8	13

Structural model:
abc: 4.261 4.281 8.415
angles: 90.00 90.00 90.00
Sites, in units of the cell vectors:
Ho1 0.000 0.000 0.247
Ho2 0.000 0.000 0.753
Al1 0.000 0.500 0.500
Al2 0.500 0.500 0.253
Al3 0.500 0.500 0.747
Ga1 0.000 0.500 0.000
Ga2 0.500 0.000 0.000
Ga3 0.500 0.000 0.500

Please write out number 1 again, unchanged.
Computed X-ray powder pattern
Compound: HfAl4Ga
Radiation: copper Kα
Structure: a crystal structure in Alexandria, relaxed with PBE
Intensities are scaled so that the largest is 100.

Main lines, in order of falling intensity (2θ = 10–90°):
2θ/deg	intensity
38.9	100
20.0	53
35.9	45
24.2	45
37.2	37
41.8	24
57.1	23
29.1	21

Structural model:
abc: 5.446 5.446 9.680
angles: 90.00 90.00 133.23
Sites, in units of the cell vectors:
Hf1 0.164 0.836 0.500
Hf2 0.836 0.164 0.000
Al1 0.003 0.997 0.241
Al2 0.142 0.858 0.972
Al3 0.310 0.690 0.228
Al4 0.473 0.527 0.552
Al5 0.527 0.473 0.052
Al6 0.690 0.310 0.728
Al7 0.858 0.142 0.472
Al8 0.997 0.003 0.741
Ga1 0.344 0.656 0.793
Ga2 0.656 0.344 0.293